[1]
# PmPaPN2
Simulated powder diffraction line list, Cu Kα (λ = 1.5418 Å). Input: the PBE geometry in Alexandria.

Cell and atoms:
Unit cell a=3.870 b=3.870 c=12.507 alpha=90.00 beta=90.00 gamma=90.00
Space group I4mm (No. 107)
One atom of each set of equivalent atoms:
Pm 0.000 0.000 0.000 (multiplicity 2)
Pa 0.000 0.000 0.310 (multiplicity 2)
P 0.000 0.000 0.656 (multiplicity 2)
N 0.000 0.500 0.390 (multiplicity 4)

Top 6 peaks for 10 to 90 degrees two-theta, low angle first:
- 2θ = 14.2°, intensity 25
- 2θ = 24.1°, intensity 45
- 2θ = 31.5°, intensity 100
- 2θ = 32.7°, intensity 41
- 2θ = 55.4°, intensity 20
- 2θ = 57.7°, intensity 36

***

[2]
# Pa2P2PtN6
Simulated powder diffraction line list, Cu Kα (λ = 1.5418 Å). Input: the PBE geometry in Alexandria.

Cell and atoms:
Unit cell a=4.482 b=5.805 c=6.663 alpha=97.04 beta=107.47 gamma=108.09
Space group P-1 (No. 2)
One atom of each set of equivalent atoms:
Pa 0.247 0.323 0.178 (multiplicity 2)
P 0.071 0.233 0.691 (multiplicity 2)
Pt 0.500 0.000 0.500 (multiplicity 1)
N 0.144 0.057 0.863 (multiplicity 2)
N 0.176 0.515 0.852 (multiplicity 2)
N 0.353 0.298 0.568 (multiplicity 2)

Top 6 peaks for 10 to 90 degrees two-theta, low angle first:
- 2θ = 21.8°, intensity 100
- 2θ = 24.4°, intensity 92
- 2θ = 29.8°, intensity 75
- 2θ = 32.6°, intensity 52
- 2θ = 33.1°, intensity 42
- 2θ = 33.4°, intensity 49